1.
For Ti3NbMo4, a structure optimized by DFT (PBE) gives the theoretical powder diffraction line list in this record (Cu Kα (weighted mean of Kα1 and Kα2)).
Peak positions follow from Bragg's law for the DFT cell and can differ from measured ones.

Cell and atoms:
```
data_Ti3NbMo4
_cell_length_a 2.6605
_cell_length_b 9.3234
_cell_length_c 10.7858
_cell_angle_alpha 90.00
_cell_angle_beta 90.00
_cell_angle_gamma 90.00
_space_group_name_H-M_alt 'I m m m'
_space_group_IT_number 71
_space_group_name_Hall '-I 2 2'
loop_
_atom_site_label
_atom_site_type_symbol
_atom_site_fract_x
_atom_site_fract_y
_atom_site_fract_z
_atom_site_occupancy
Ti1 Ti 0.0000 0.0000 0.0000 1
Ti2 Ti 0.0000 0.5000 0.2496 1
Nb1 Nb 0.0000 0.0000 0.5000 1
Mo1 Mo 0.0000 0.2560 0.3733 1
```

Principal peaks in the range 5° ≤ 2θ ≤ 70°, in order of rising 2θ:
index	d [Å]	Rel. int.
0 2 0	4.662	116
1 0 1	2.583	237
0 2 4	2.333	1000
1 1 2	2.311	186
1 2 1	2.259	156
1 0 3	2.139	75
1 2 3	1.944	217
1 3 2	1.893	97
1 4 1	1.730	136
1 2 5	1.576	144
1 5 2	1.470	81
0 6 4	1.346	105

=====

2.
For Ta3Re2Ru, a structure optimized by DFT (PBE) gives the theoretical powder diffraction line list in this record (Cu Kα (weighted mean of Kα1 and Kα2)).
Peak positions follow from Bragg's law for the DFT cell and can differ from measured ones.

Cell and atoms:
```
data_Ta3Re2Ru
_cell_length_a 3.1969
_cell_length_b 3.1969
_cell_length_c 9.5551
_cell_angle_alpha 90.00
_cell_angle_beta 90.00
_cell_angle_gamma 90.00
_space_group_name_H-M_alt 'P 4/m m m'
_space_group_IT_number 123
_space_group_name_Hall '-P 4 2'
loop_
_atom_site_label
_atom_site_type_symbol
_atom_site_fract_x
_atom_site_fract_y
_atom_site_fract_z
_atom_site_occupancy
Ta1 Ta 0.0000 0.0000 0.0000 1
Ta2 Ta 0.0000 0.0000 0.3320 1
Re1 Re 0.5000 0.5000 0.1690 1
Ru1 Ru 0.5000 0.5000 0.5000 1
```

Principal peaks in the range 5° ≤ 2θ ≤ 70°, in order of rising 2θ:
index	d [Å]	Rel. int.
0 0 1	9.555	28
0 0 2	4.778	10
1 0 1	3.032	8
1 0 2	2.657	7
1 1 0	2.258	1000
2 0 0	1.598	115
0 0 6	1.593	57

=====

3.
For Tb3HoN4, a structure optimized by DFT (PBE) gives the theoretical powder diffraction line list in this record (Cu Kα (weighted mean of Kα1 and Kα2)).
Peak positions follow from Bragg's law for the DFT cell and can differ from measured ones.

Cell and atoms:
```
data_Tb3HoN4
_cell_length_a 6.0376
_cell_length_b 6.9750
_cell_length_c 6.0375
_cell_angle_alpha 90.00
_cell_angle_beta 109.46
_cell_angle_gamma 90.00
_space_group_name_H-M_alt 'P 1 2/c 1'
_space_group_IT_number 13
_space_group_name_Hall '-P 2yc'
loop_
_atom_site_label
_atom_site_type_symbol
_atom_site_fract_x
_atom_site_fract_y
_atom_site_fract_z
_atom_site_occupancy
Tb1 Tb 0.0000 0.1243 0.2500 1
Tb2 Tb 0.0000 0.3748 0.7500 1
Tb3 Tb 0.5000 0.3748 0.2500 1
Ho1 Ho 0.5000 0.1242 0.7500 1
N1 N 0.2506 0.3745 0.5013 1
N2 N 0.2523 0.1230 0.9997 1
```

Principal peaks in the range 5° ≤ 2θ ≤ 70°, in order of rising 2θ:
index	d [Å]	Rel. int.
2 0 0	2.847	1000
1 2 1	2.465	716
2 0 2	1.743	493
3 2 1	1.487	447
4 0 0	1.423	165

=====

4.
For RbAsCl5, a structure optimized by DFT (PBE) gives the theoretical powder diffraction line list in this record (Cu Kα (weighted mean of Kα1 and Kα2)).
Peak positions follow from Bragg's law for the DFT cell and can differ from measured ones.

Cell and atoms:
```
data_RbAsCl5
_cell_length_a 13.5459
_cell_length_b 7.1559
_cell_length_c 10.0543
_cell_angle_alpha 90.00
_cell_angle_beta 111.73
_cell_angle_gamma 90.00
_space_group_name_H-M_alt 'C 1 2/c 1'
_space_group_IT_number 15
_space_group_name_Hall '-C 2yc'
loop_
_atom_site_label
_atom_site_type_symbol
_atom_site_fract_x
_atom_site_fract_y
_atom_site_fract_z
_atom_site_occupancy
Rb1 Rb 0.0000 0.9998 0.2500 1
As1 As 0.0000 0.5000 0.0000 1
Cl1 Cl 0.0000 0.4984 0.2500 1
Cl2 Cl 0.1314 0.2657 0.0650 1
Cl3 Cl 0.1315 0.2660 0.5661 1
```

Principal peaks in the range 5° ≤ 2θ ≤ 70°, in order of rising 2θ:
index	d [Å]	Rel. int.
2 0 0	6.292	1000
1 1 -2	4.114	407
1 1 2	3.443	413
4 0 -2	3.221	292
2 2 0	3.110	453
0 2 2	2.840	315
2 0 -4	2.514	324
3 1 2	2.499	144
4 2 0	2.363	519
0 0 4	2.334	169
4 2 -4	1.955	226
2 2 4	1.721	424

=====

5.
For SrIn6Hg8, a structure optimized by DFT (PBE) gives the theoretical powder diffraction line list in this record (Cu Kα (weighted mean of Kα1 and Kα2)).
Peak positions follow from Bragg's law for the DFT cell and can differ from measured ones.

Cell and atoms:
```
data_SrIn6Hg8
_cell_length_a 9.5470
_cell_length_b 9.5470
_cell_length_c 15.8064
_cell_angle_alpha 90.00
_cell_angle_beta 90.00
_cell_angle_gamma 120.00
_space_group_name_H-M_alt 'R -3'
_space_group_IT_number 148
_space_group_name_Hall '-R 3'
loop_
_atom_site_label
_atom_site_type_symbol
_atom_site_fract_x
_atom_site_fract_y
_atom_site_fract_z
_atom_site_occupancy
Sr1 Sr 0.0000 0.0000 0.0000 1
In1 In 0.0016 0.1998 0.6134 1
Hg1 Hg 0.0000 0.0000 0.2155 1
Hg2 Hg 0.0167 0.7130 0.8820 1
```

Principal peaks in the range 5° ≤ 2θ ≤ 70°, in order of rising 2θ:
index	d [Å]	Rel. int.
0 0 3	5.269	174
2 -1 3	3.538	490
0 1 5	2.953	243
1 2 2	2.906	1000
0 2 4	2.857	263
3 0 0	2.756	770
3 -1 4	2.451	466
0 3 3	2.442	441
1 1 6	2.306	817
1 3 1	2.269	182
4 -2 3	2.174	528
3 0 9	1.481	314

=====

6.
For Pr2Ga4Ir3Au, a structure optimized by DFT (PBE) gives the theoretical powder diffraction line list in this record (Cu Kα (weighted mean of Kα1 and Kα2)).
Peak positions follow from Bragg's law for the DFT cell and can differ from measured ones.

Cell and atoms:
```
data_Pr2Ga4Ir3Au
_cell_length_a 4.2581
_cell_length_b 4.2581
_cell_length_c 10.7101
_cell_angle_alpha 90.00
_cell_angle_beta 90.00
_cell_angle_gamma 90.00
_space_group_name_H-M_alt 'P -4 m 2'
_space_group_IT_number 115
_space_group_name_Hall 'P -4 -2'
loop_
_atom_site_label
_atom_site_type_symbol
_atom_site_fract_x
_atom_site_fract_y
_atom_site_fract_z
_atom_site_occupancy
Pr1 Pr 0.0000 0.5000 0.2450 1
Ga1 Ga 0.0000 0.0000 0.0000 1
Ga2 Ga 0.0000 0.5000 0.6363 1
Ga3 Ga 0.5000 0.5000 0.0000 1
Ir1 Ir 0.0000 0.5000 0.8692 1
Ir2 Ir 0.5000 0.5000 0.5000 1
Au1 Au 0.0000 0.0000 0.5000 1
```

Principal peaks in the range 5° ≤ 2θ ≤ 70°, in order of rising 2θ:
index	d [Å]	Rel. int.
0 0 3	3.570	140
1 0 2	3.333	112
1 1 1	2.899	290
1 0 3	2.736	534
1 1 2	2.625	1000
2 0 0	2.129	661
1 1 4	2.001	360
1 0 5	1.914	278
2 1 3	1.680	250
1 1 6	1.535	117
2 2 0	1.505	219
2 1 5	1.423	211

=====

7.
For Co2NiWN, a structure optimized by DFT (PBE) gives the theoretical powder diffraction line list in this record (Cu Kα (weighted mean of Kα1 and Kα2)).
Peak positions follow from Bragg's law for the DFT cell and can differ from measured ones.

Cell and atoms:
```
data_Co2NiWN
_cell_length_a 3.7302
_cell_length_b 3.7302
_cell_length_c 4.0213
_cell_angle_alpha 90.00
_cell_angle_beta 90.00
_cell_angle_gamma 90.00
_space_group_name_H-M_alt 'P 4/m m m'
_space_group_IT_number 123
_space_group_name_Hall '-P 4 2'
loop_
_atom_site_label
_atom_site_type_symbol
_atom_site_fract_x
_atom_site_fract_y
_atom_site_fract_z
_atom_site_occupancy
Co1 Co 0.0000 0.5000 0.0000 1
Ni1 Ni 0.0000 0.0000 0.5000 1
W1 W 0.5000 0.5000 0.5000 1
N1 N 0.5000 0.5000 0.0000 1
```

Principal peaks in the range 5° ≤ 2θ ≤ 70°, in order of rising 2θ:
index	d [Å]	Rel. int.
0 0 1	4.021	105
1 0 0	3.730	269
1 0 1	2.735	147
1 1 0	2.638	119
1 1 1	2.206	1000
0 0 2	2.011	215
2 0 0	1.865	338
1 0 2	1.770	68
2 1 0	1.668	56
1 1 2	1.599	54
2 1 1	1.541	61
2 0 2	1.367	232

=====

8.
For KIrCl5, a structure optimized by DFT (PBE) gives the theoretical powder diffraction line list in this record (Cu Kα (weighted mean of Kα1 and Kα2)).
Peak positions follow from Bragg's law for the DFT cell and can differ from measured ones.

Cell and atoms:
```
data_KIrCl5
_cell_length_a 11.5164
_cell_length_b 8.5264
_cell_length_c 8.8745
_cell_angle_alpha 90.00
_cell_angle_beta 110.57
_cell_angle_gamma 90.00
_space_group_name_H-M_alt 'C 1 2/c 1'
_space_group_IT_number 15
_space_group_name_Hall '-C 2yc'
loop_
_atom_site_label
_atom_site_type_symbol
_atom_site_fract_x
_atom_site_fract_y
_atom_site_fract_z
_atom_site_occupancy
K1 K 0.0000 0.0269 0.2500 1
Ir1 Ir 0.0000 0.5000 0.0000 1
Cl1 Cl 0.0000 0.4007 0.2500 1
Cl2 Cl 0.0881 0.2539 0.9863 1
Cl3 Cl 0.1959 0.3943 0.6226 1
```

Principal peaks in the range 5° ≤ 2θ ≤ 70°, in order of rising 2θ:
index	d [Å]	Rel. int.
1 1 0	6.688	1000
2 0 0	5.391	466
0 2 0	4.263	149
0 0 2	4.154	145
2 0 -2	4.050	123
1 1 -2	3.934	495
2 2 0	3.344	183
3 1 -2	3.130	117
3 1 1	2.782	107
4 2 0	2.279	171
1 3 2	2.203	103
5 1 0	2.091	139

=====

9.
For PaZn6Au12, a structure optimized by DFT (PBE) gives the theoretical powder diffraction line list in this record (Cu Kα (weighted mean of Kα1 and Kα2)).
Peak positions follow from Bragg's law for the DFT cell and can differ from measured ones.

Cell and atoms:
```
data_PaZn6Au12
_cell_length_a 8.9859
_cell_length_b 8.9859
_cell_length_c 8.9859
_cell_angle_alpha 90.00
_cell_angle_beta 90.00
_cell_angle_gamma 90.00
_space_group_name_H-M_alt 'I m -3'
_space_group_IT_number 204
_space_group_name_Hall '-I 2 2 3'
loop_
_atom_site_label
_atom_site_type_symbol
_atom_site_fract_x
_atom_site_fract_y
_atom_site_fract_z
_atom_site_occupancy
Pa1 Pa 0.0000 0.0000 0.0000 1
Zn1 Zn 0.0000 0.3590 0.5000 1
Au1 Au 0.0000 0.1693 0.2841 1
```

Principal peaks in the range 5° ≤ 2θ ≤ 70°, in order of rising 2θ:
index	d [Å]	Rel. int.
1 1 0	6.354	98
2 2 0	3.177	86
3 1 0	2.842	317
2 2 2	2.594	277
3 2 1	2.402	1000
4 0 0	2.246	152
3 3 0	2.118	175
4 0 2	2.009	206
5 1 0	1.762	59
5 0 3	1.541	274
6 0 0	1.498	95
5 3 2	1.458	260

=====

10.
For MgAl5Ni6, a structure optimized by DFT (PBE) gives the theoretical powder diffraction line list in this record (Cu Kα (weighted mean of Kα1 and Kα2)).
Peak positions follow from Bragg's law for the DFT cell and can differ from measured ones.

Cell and atoms:
```
data_MgAl5Ni6
_cell_length_a 4.1206
_cell_length_b 5.8178
_cell_length_c 12.3877
_cell_angle_alpha 90.00
_cell_angle_beta 90.00
_cell_angle_gamma 90.00
_space_group_name_H-M_alt 'I m m m'
_space_group_IT_number 71
_space_group_name_Hall '-I 2 2'
loop_
_atom_site_label
_atom_site_type_symbol
_atom_site_fract_x
_atom_site_fract_y
_atom_site_fract_z
_atom_site_occupancy
Mg1 Mg 0.0000 0.0000 0.0000 1
Al1 Al 0.0000 0.0000 0.3329 1
Al2 Al 0.0000 0.5000 0.0000 1
Al3 Al 0.0000 0.5000 0.3365 1
Ni1 Ni 0.0000 0.2367 0.5000 1
Ni2 Ni 0.0000 0.2566 0.1720 1
```

Principal peaks in the range 5° ≤ 2θ ≤ 70°, in order of rising 2θ:
index	d [Å]	Rel. int.
0 1 1	5.266	6
1 0 3	2.914	363
2 0 0	2.062	505
1 2 3	2.060	1000
2 2 0	1.682	84
2 0 6	1.458	153
0 4 0	1.454	74

=====

11.
For Ca2AlH10BrO8, a structure optimized by DFT (PBE) gives the theoretical powder diffraction line list in this record (Cu Kα (weighted mean of Kα1 and Kα2)).
Peak positions follow from Bragg's law for the DFT cell and can differ from measured ones.

Cell and atoms:
```
data_Ca2AlH10BrO8
_cell_length_a 5.8088
_cell_length_b 8.9214
_cell_length_c 10.0782
_cell_angle_alpha 103.36
_cell_angle_beta 90.05
_cell_angle_gamma 108.61
_space_group_name_H-M_alt 'P -1'
_space_group_IT_number 2
_space_group_name_Hall '-P 1'
loop_
_atom_site_label
_atom_site_type_symbol
_atom_site_fract_x
_atom_site_fract_y
_atom_site_fract_z
_atom_site_occupancy
Ca1 Ca 0.2108 0.4272 0.4014 1
Ca2 Ca 0.2832 0.5722 0.0975 1
Al1 Al 0.2557 0.5027 0.7508 1
H1 H 0.0204 0.9295 0.7580 1
H2 H 0.0904 0.7329 0.8608 1
H3 H 0.0935 0.7290 0.3980 1
H4 H 0.1037 0.2706 0.8719 1
H5 H 0.1228 0.9255 0.6135 1
H6 H 0.3093 0.9268 0.1169 1
H7 H 0.4008 0.2639 0.0901 1
H8 H 0.4143 0.2713 0.6370 1
H9 H 0.4139 0.9266 0.2606 1
H10 H 0.4149 0.7343 0.6278 1
Br1 Br 0.0000 0.0000 0.0000 1
Br2 Br 0.5000 0.0000 0.5000 1
O1 O 0.0146 0.3791 0.6000 1
O2 O 0.0213 0.1229 0.3402 1
O3 O 0.0330 0.6217 0.8040 1
O4 O 0.0970 0.3797 0.8788 1
O5 O 0.4070 0.8778 0.1617 1
O6 O 0.4144 0.6239 0.6220 1
O7 O 0.4738 0.3790 0.6997 1
O8 O 0.4937 0.6245 0.9030 1
```

Principal peaks in the range 5° ≤ 2θ ≤ 70°, in order of rising 2θ:
index	d [Å]	Rel. int.
0 1 0	8.199	672
1 -1 1	4.952	299
0 2 0	4.100	628
1 1 -1	3.952	387
1 -2 1	3.927	390
0 1 2	3.808	308
1 -1 3	2.905	1000
1 2 -3	2.422	287
2 -3 0	2.362	289
1 1 3	2.330	302
1 3 -1	2.236	163
0 1 -6	1.678	248

=====

12.
For Th2Cd2Hg, a structure optimized by DFT (PBE) gives the theoretical powder diffraction line list in this record (Cu Kα (weighted mean of Kα1 and Kα2)).
Peak positions follow from Bragg's law for the DFT cell and can differ from measured ones.

Cell and atoms:
```
data_Th2Cd2Hg
_cell_length_a 4.9261
_cell_length_b 15.9901
_cell_length_c 3.3575
_cell_angle_alpha 90.00
_cell_angle_beta 90.00
_cell_angle_gamma 90.00
_space_group_name_H-M_alt 'C m m m'
_space_group_IT_number 65
_space_group_name_Hall '-C 2 2'
loop_
_atom_site_label
_atom_site_type_symbol
_atom_site_fract_x
_atom_site_fract_y
_atom_site_fract_z
_atom_site_occupancy
Th1 Th 0.0000 0.1105 0.0000 1
Cd1 Cd 0.0000 0.2980 0.5000 1
Hg1 Hg 0.0000 0.5000 0.5000 1
```

Principal peaks in the range 5° ≤ 2θ ≤ 70°, in order of rising 2θ:
index	d [Å]	Rel. int.
1 3 0	3.618	151
1 1 1	2.734	1000
1 5 0	2.682	923
0 4 1	2.571	553
2 0 0	2.463	465
0 6 1	2.087	149
2 4 1	1.779	375
1 9 1	1.496	241
3 1 1	1.469	154
3 5 0	1.461	145
1 5 2	1.423	279
2 0 2	1.387	129

=====

Repeat the seventh record exactly.
For Co2NiWN, a structure optimized by DFT (PBE) gives the theoretical powder diffraction line list in this record (Cu Kα (weighted mean of Kα1 and Kα2)).
Peak positions follow from Bragg's law for the DFT cell and can differ from measured ones.

Cell and atoms:
```
data_Co2NiWN
_cell_length_a 3.7302
_cell_length_b 3.7302
_cell_length_c 4.0213
_cell_angle_alpha 90.00
_cell_angle_beta 90.00
_cell_angle_gamma 90.00
_space_group_name_H-M_alt 'P 4/m m m'
_space_group_IT_number 123
_space_group_name_Hall '-P 4 2'
loop_
_atom_site_label
_atom_site_type_symbol
_atom_site_fract_x
_atom_site_fract_y
_atom_site_fract_z
_atom_site_occupancy
Co1 Co 0.0000 0.5000 0.0000 1
Ni1 Ni 0.0000 0.0000 0.5000 1
W1 W 0.5000 0.5000 0.5000 1
N1 N 0.5000 0.5000 0.0000 1
```

Principal peaks in the range 5° ≤ 2θ ≤ 70°, in order of rising 2θ:
index	d [Å]	Rel. int.
0 0 1	4.021	105
1 0 0	3.730	269
1 0 1	2.735	147
1 1 0	2.638	119
1 1 1	2.206	1000
0 0 2	2.011	215
2 0 0	1.865	338
1 0 2	1.770	68
2 1 0	1.668	56
1 1 2	1.599	54
2 1 1	1.541	61
2 0 2	1.367	232